# NbSiPb3
Computed powder X-ray diffraction pattern, Cu Ka. Input: a structure optimized by DFT (PBE).
Intensities are scaled so that the largest is 1000.

Crystal structure
a b c (Å): 5.4992 5.4992 5.4992
angles (deg): 90.00 90.00 90.00
Space group Pm-3m (No. 221)
Symmetry-distinct sites (fractional):
1 Nb 0.0000 0.0000 0.0000 (multiplicity 1)
2 Si 0.5000 0.5000 0.5000 (multiplicity 1)
3 Pb 0.0000 0.0000 0.5000 (multiplicity 3)

Peak list (6 most intense, 5 to 70 degrees two-theta, in order of falling intensity)
index  2theta  I_rel
1 1 1  28.1  1000
2 0 0  32.6  946
2 2 0  46.7  703
1 0 0  16.1  681
3 1 1  55.4  477
2 1 0  36.5  378



# In6SnHg10
Computed powder X-ray diffraction pattern, Cu Ka. Input: a structure optimized by DFT (PBE).
Intensities are scaled so that the largest is 1000.

Crystal structure
a b c (Å): 9.1772 9.1772 6.3088
angles (deg): 90.00 90.00 120.00
Space group P-31m (No. 162)
Symmetry-distinct sites (fractional):
1 In 0.0000 0.3826 0.2676 (multiplicity 6)
2 Sn 0.0000 0.0000 0.5000 (multiplicity 1)
3 Hg 0.0000 0.2696 0.7919 (multiplicity 6)
4 Hg 0.3333 0.6667 0.0000 (multiplicity 2)
5 Hg 0.3333 0.6667 0.5000 (multiplicity 2)

Peak list (6 most intense, 5 to 70 degrees two-theta, in order of falling intensity)
index  2theta  I_rel
1 1 2  34.5  1000
3 0 0  33.8  773
3 -1 1  33.0  635
4 -2 2  49.1  279
4 1 2  60.9  211
3 2 1  52.2  162



# AlSnAsRh
Computed powder X-ray diffraction pattern, Cu Ka. Input: a structure optimized by DFT (PBE).
Intensities are scaled so that the largest is 1000.

Crystal structure
a b c (Å): 2.9793 3.4291 7.4935
angles (deg): 90.00 101.34 90.00
Space group Pm (No. 6)
Symmetry-distinct sites (fractional):
1 Al 0.0000 0.0000 0.0000 (multiplicity 1)
2 Sn 0.7917 0.0000 0.5830 (multiplicity 1)
3 As 0.6059 0.5000 0.2133 (multiplicity 1)
4 Rh 0.4174 0.5000 0.8329 (multiplicity 1)

Peak list (6 most intense, 5 to 70 degrees two-theta, in order of falling intensity)
index  2theta  I_rel
1 1 0  40.6  1000
0 1 2  35.8  844
1 0 -3  43.2  694
0 1 1  28.7  510
0 0 1  12.0  476
1 0 0  30.6  389



# Ac3Nd8Sm2
Computed powder X-ray diffraction pattern, Cu Ka. Input: a structure optimized by DFT (PBE).
Intensities are scaled so that the largest is 1000.

Crystal structure
a b c (Å): 12.0844 22.1021 3.6768
angles (deg): 90.00 90.00 90.00
Space group Pbam (No. 55)
Symmetry-distinct sites (fractional):
1 Ac 0.0000 0.0000 0.0000 (multiplicity 2)
2 Ac 0.1416 0.2995 0.0000 (multiplicity 4)
3 Nd 0.0464 0.4312 0.5000 (multiplicity 4)
4 Nd 0.0576 0.1567 0.0000 (multiplicity 4)
5 Nd 0.1350 0.7121 0.5000 (multiplicity 4)
6 Nd 0.2090 0.5545 0.0000 (multiplicity 4)
7 Sm 0.1777 0.8991 0.5000 (multiplicity 4)

Peak list (6 most intense, 5 to 70 degrees two-theta, in order of falling intensity)
index  2theta  I_rel
1 4 1  30.1  1000
2 1 1  28.7  982
3 1 1  33.2  906
1 7 0  29.2  890
3 5 0  30.0  868
4 2 0  30.7  489



# Tb7DyCd4
Computed powder X-ray diffraction pattern, Cu Ka. Input: a structure optimized by DFT (PBE).
Intensities are scaled so that the largest is 1000.

Crystal structure
a b c (Å): 14.7384 5.7160 9.7590
angles (deg): 90.00 121.95 90.00
Space group C2/m (No. 12)
Symmetry-distinct sites (fractional):
1 Tb 0.0000 0.0000 0.0000 (multiplicity 2)
2 Tb 0.0710 0.5000 0.4119 (multiplicity 4)
3 Tb 0.2052 0.5000 0.8808 (multiplicity 4)
4 Tb 0.2383 0.0000 0.6943 (multiplicity 4)
5 Dy 0.0000 0.5000 0.0000 (multiplicity 2)
6 Cd 0.0418 0.0000 0.7119 (multiplicity 4)
7 Cd 0.1814 0.0000 0.3418 (multiplicity 4)

Peak list (6 most intense, 5 to 70 degrees two-theta, in order of falling intensity)
index  2theta  I_rel
0 2 0  31.3  1000
5 1 -1  35.2  765
1 1 2  30.4  526
4 0 -3  29.8  487
3 1 -3  31.9  446
4 2 -3  43.7  344



# La6Tb5In
Computed powder X-ray diffraction pattern, Cu Ka. Input: a structure optimized by DFT (PBE).
Intensities are scaled so that the largest is 1000.

Crystal structure
a b c (Å): 5.1254 10.0913 15.5803
angles (deg): 90.00 90.00 90.00
Space group Immm (No. 71)
Symmetry-distinct sites (fractional):
1 La 0.0000 0.2432 0.0000 (multiplicity 4)
2 La 0.0000 0.2551 0.3346 (multiplicity 8)
3 Tb 0.0000 0.0000 0.1689 (multiplicity 4)
4 Tb 0.0000 0.0000 0.5000 (multiplicity 2)
5 Tb 0.0000 0.5000 0.1645 (multiplicity 4)
6 In 0.0000 0.5000 0.5000 (multiplicity 2)

Peak list (6 most intense, 5 to 70 degrees two-theta, in order of falling intensity)
index  2theta  I_rel
1 2 3  30.2  1000
0 0 6  34.5  175
2 0 0  35.0  169
0 4 0  35.6  160
1 2 9  59.2  146
3 2 3  59.9  143



# Ho6Pt2N
Computed powder X-ray diffraction pattern, Cu Ka. Input: a structure optimized by DFT (PBE).
Intensities are scaled so that the largest is 1000.

Crystal structure
a b c (Å): 6.4693 6.9736 11.3115
angles (deg): 90.00 123.63 90.00
Space group P2_1/c (No. 14)
Symmetry-distinct sites (fractional):
1 Ho 0.1314 0.0304 0.2420 (multiplicity 4)
2 Ho 0.2356 0.6970 0.0561 (multiplicity 4)
3 Ho 0.3604 0.1804 0.0551 (multiplicity 4)
4 Pt 0.2895 0.0897 0.7525 (multiplicity 4)
5 N 0.0000 0.0000 0.0000 (multiplicity 2)

Peak list (6 most intense, 5 to 70 degrees two-theta, in order of falling intensity)
index  2theta  I_rel
0 2 2  31.9  1000
2 0 -4  34.0  461
2 1 -3  32.1  325
2 1 -2  30.5  317
2 1 -1  31.8  298
2 0 0  33.3  278



# CsUTe4Pd2
Computed powder X-ray diffraction pattern, Cu Ka. Input: a structure optimized by DFT (PBE).
Intensities are scaled so that the largest is 1000.

Crystal structure
a b c (Å): 4.0300 8.8104 17.3948
angles (deg): 90.00 90.00 90.00
Space group Immm (No. 71)
Symmetry-distinct sites (fractional):
1 Cs 0.0000 0.0000 0.0000 (multiplicity 2)
2 U 0.0000 0.0000 0.5000 (multiplicity 2)
3 Te 0.0000 0.2120 0.3630 (multiplicity 8)
4 Pd 0.0000 0.5000 0.1268 (multiplicity 4)

Peak list (6 most intense, 5 to 70 degrees two-theta, in order of falling intensity)
index  2theta  I_rel
0 1 1  11.3  1000
1 2 3  33.9  564
1 3 4  43.4  558
0 2 2  22.6  483
0 0 2  10.2  444
1 1 4  31.9  355



# KZnP2O7
Computed powder X-ray diffraction pattern, Cu Ka. Input: a structure optimized by DFT (PBE).
Intensities are scaled so that the largest is 1000.

Crystal structure
a b c (Å): 12.6430 5.1882 10.4133
angles (deg): 90.00 90.00 90.00
Space group Pmc2_1 (No. 26)
Symmetry-distinct sites (fractional):
1 K 0.0000 0.9999 0.0000 (multiplicity 2)
2 K 0.5000 0.4926 0.2188 (multiplicity 2)
3 Zn 0.2501 0.4634 0.5116 (multiplicity 4)
4 P 0.1102 0.4554 0.7647 (multiplicity 4)
5 P 0.3895 0.0458 0.9530 (multiplicity 4)
6 O 0.0000 0.4036 0.2194 (multiplicity 2)
7 O 0.0914 0.1642 0.7388 (multiplicity 4)
8 O 0.1215 0.4804 0.4078 (multiplicity 4)
9 O 0.2008 0.4409 0.1839 (multiplicity 4)
10 O 0.2994 0.1055 0.5129 (multiplicity 4)
11 O 0.3776 0.3377 0.9727 (multiplicity 4)
12 O 0.4083 0.0286 0.3106 (multiplicity 4)
13 O 0.5000 0.0318 0.5266 (multiplicity 2)

Peak list (6 most intense, 5 to 70 degrees two-theta, in order of falling intensity)
index  2theta  I_rel
2 0 2  22.1  1000
2 1 2  28.1  820
0 1 0  17.1  609
3 1 0  27.2  591
1 1 0  18.5  436
0 2 0  34.6  432



# GaAsPd2
Computed powder X-ray diffraction pattern, Cu Ka. Input: a structure optimized by DFT (PBE).
Intensities are scaled so that the largest is 1000.

Crystal structure
a b c (Å): 7.2345 6.3353 5.8335
angles (deg): 90.00 90.15 90.00
Space group P2_1/c (No. 14)
Symmetry-distinct sites (fractional):
1 Ga 0.1228 0.0856 0.1885 (multiplicity 4)
2 As 0.3647 0.5727 0.3150 (multiplicity 4)
3 Pd 0.1265 0.6882 0.0059 (multiplicity 4)
4 Pd 0.3805 0.1931 0.4954 (multiplicity 4)

Peak list (6 most intense, 5 to 70 degrees two-theta, in order of falling intensity)
index  2theta  I_rel
2 2 -1  40.9  1000
2 1 2  42.3  765
2 1 -2  42.2  737
2 1 1  32.4  714
2 1 0  28.4  602
0 2 2  42.1  563



# Zn2NiPdPt5
Computed powder X-ray diffraction pattern, Cu Ka. Input: a structure optimized by DFT (PBE).
Intensities are scaled so that the largest is 1000.

Crystal structure
a b c (Å): 6.2524 6.2524 14.6264
angles (deg): 90.00 90.00 90.00
Space group I4/mcm (No. 140)
Symmetry-distinct sites (fractional):
1 Zn 0.1298 0.3702 0.0000 (multiplicity 8)
2 Ni 0.0000 0.0000 0.2500 (multiplicity 4)
3 Pd 0.0000 0.5000 0.2500 (multiplicity 4)
4 Pt 0.0000 0.0000 0.0000 (multiplicity 4)
5 Pt 0.2402 0.2598 0.3527 (multiplicity 16)

Peak list (6 most intense, 5 to 70 degrees two-theta, in order of falling intensity)
index  2theta  I_rel
2 0 4  37.9  1000
2 2 0  40.8  509
2 0 0  28.6  169
2 0 6  47.3  165
0 0 6  36.9  144
4 0 0  59.1  130



# Dy8ScIn2
Computed powder X-ray diffraction pattern, Cu Ka. Input: a structure optimized by DFT (PBE).
Intensities are scaled so that the largest is 1000.

Crystal structure
a b c (Å): 8.7854 15.1020 5.5642
angles (deg): 90.00 115.63 90.00
Space group C2/m (No. 12)
Symmetry-distinct sites (fractional):
1 Dy 0.0000 0.2113 0.0000 (multiplicity 4)
2 Dy 0.1061 0.5000 0.7978 (multiplicity 4)
3 Dy 0.2093 0.1136 0.6225 (multiplicity 8)
4 Sc 0.0000 0.0000 0.0000 (multiplicity 2)
5 In 0.0000 0.3057 0.5000 (multiplicity 4)

Peak list (6 most intense, 5 to 70 degrees two-theta, in order of falling intensity)
index  2theta  I_rel
1 5 -1  34.0  1000
3 1 -1  31.3  887
1 1 -2  33.0  695
1 3 1  30.6  605
2 4 0  32.8  597
0 4 1  29.6  528